Computed PXRD pattern of K2Te4O9 for CuKα, from a structure optimized by DFT (PBE).

Peak list (8 most intense, 10° ≤ 2θ ≤ 90°, by angle)
d 7.407, I 50
d 4.581, I 33
d 3.285, I 79
d 3.196, I 42
d 3.157, I 100
d 3.020, I 51
d 2.195, I 44
d 1.814, I 19

Structure:
```
K2Te4O9
1.0
7.7444 0.0000 0.0000
0.0000 18.1254 0.0000
-2.3877 0.0000 7.8271
K Te O
8 16 36
Direct
0.1286 0.0903 0.1355
0.1286 0.4097 0.6355
0.1588 0.7468 0.1288
0.1588 0.7532 0.6288
0.8412 0.2468 0.3712
0.8412 0.2532 0.8712
0.8714 0.5903 0.3645
0.8714 0.9097 0.8645
0.1780 0.0920 0.6748
0.1780 0.4080 0.1748
0.3520 0.5783 0.3465
0.3520 0.9217 0.8465
0.3766 0.2413 0.9600
0.3766 0.2587 0.4600
0.3989 0.5821 0.9144
0.3989 0.9179 0.4144
0.6011 0.0821 0.5856
0.6011 0.4179 0.0856
0.6234 0.7413 0.5400
0.6234 0.7587 0.0400
0.6480 0.0783 0.1535
0.6480 0.4217 0.6535
0.8220 0.5920 0.8252
0.8220 0.9080 0.3252
0.1285 0.1588 0.8320
0.1285 0.3412 0.3320
0.1633 0.0056 0.8274
0.1633 0.4944 0.3274
0.1982 0.2009 0.5152
0.1982 0.2991 0.0152
0.2028 0.6458 0.4076
0.2028 0.8542 0.9076
0.2598 0.5904 0.0991
0.2598 0.9096 0.5991
0.3872 0.0553 0.4171
0.3872 0.4447 0.9171
0.4124 0.6908 0.9219
0.4124 0.8092 0.4219
0.4378 0.0874 0.7620
0.4378 0.4126 0.2620
0.4420 0.1756 0.1499
0.4420 0.3244 0.6499
0.5580 0.6756 0.3501
0.5580 0.8244 0.8501
0.5622 0.5874 0.7380
0.5622 0.9126 0.2380
0.5876 0.1908 0.5781
0.5876 0.3092 0.0781
0.6128 0.5553 0.0829
0.6128 0.9447 0.5829
0.7402 0.0904 0.4009
0.7402 0.4096 0.9009
0.7972 0.1458 0.0924
0.7972 0.3542 0.5924
0.8018 0.7009 0.9848
0.8018 0.7991 0.4848
0.8367 0.5056 0.6726
0.8367 0.9944 0.1726
0.8715 0.6588 0.6680
0.8715 0.8412 0.1679
```


Computed PXRD pattern of CsYSeCl2O3 for CuKα, from a structure optimized by DFT (PBE).

Peak list (8 most intense, 10° ≤ 2θ ≤ 90°, by angle)
d 4.128, I 75
d 3.752, I 100
d 3.541, I 89
d 3.472, I 98
d 3.009, I 93
d 2.969, I 53
d 2.950, I 56
d 2.258, I 68

Structure:
```
CsYSeCl2O3
1.0
6.7168 0.0000 0.0000
0.0000 7.0825 0.0000
-4.1495 0.0000 17.6982
Cs Y Se Cl O
4 4 4 8 12
Direct
0.2437 0.2074 0.0549
0.2437 0.2926 0.5549
0.7563 0.7074 0.4451
0.7563 0.7926 0.9451
0.1402 0.6742 0.2577
0.1402 0.8258 0.7577
0.8598 0.1742 0.2423
0.8598 0.3258 0.7423
0.3616 0.1789 0.2927
0.3616 0.3211 0.7927
0.6384 0.6789 0.2073
0.6384 0.8211 0.7073
0.1262 0.6843 0.1103
0.1262 0.8157 0.6103
0.2320 0.6546 0.4084
0.2320 0.8454 0.9084
0.7680 0.1546 0.0916
0.7680 0.3454 0.5916
0.8738 0.1843 0.3897
0.8738 0.3157 0.8897
0.1773 0.1508 0.7561
0.1773 0.3492 0.2561
0.1826 0.5012 0.7652
0.1826 0.9988 0.2652
0.4933 0.6702 0.2725
0.4933 0.8298 0.7725
0.5067 0.1702 0.2275
0.5067 0.3298 0.7275
0.8174 0.0012 0.7348
0.8174 0.4988 0.2348
0.8227 0.6508 0.7439
0.8227 0.8492 0.2439
```


Computed PXRD pattern of H for CuKα, from a structure optimized by DFT (PBE).

Peak list (8 most intense, 10° ≤ 2θ ≤ 90°, by angle)
d 2.609, I 100
d 2.268, I 77
d 2.253, I 13
d 1.712, I 31
d 1.705, I 5
d 1.312, I 2
d 1.304, I 2
d 1.131, I 2

Structure:
```
H
1.0
1.3122 -2.2530 0.0000
1.3122 2.2530 0.0000
0.0000 0.0000 2.6090
H
2
Direct
0.0827 0.9173 0.0000
0.9173 0.0827 0.0000
```


Computed PXRD pattern of Pm2AgPt for CuKα, from a structure optimized by DFT (PBE).

Peak list (8 most intense, 10° ≤ 2θ ≤ 90°, by angle)
d 4.213, I 4
d 2.580, I 100
d 2.200, I 2
d 1.824, I 18
d 1.674, I 1
d 1.490, I 37
d 1.290, I 11
d 1.154, I 16

Structure:
```
Pm2AgPt
1.0
0.0000 3.6487 3.6487
3.6487 0.0000 3.6487
3.6487 3.6487 0.0000
Pm Ag Pt
2 1 1
Direct
0.2500 0.2500 0.2500
0.7500 0.7500 0.7500
0.0000 0.0000 0.0000
0.5000 0.5000 0.5000
```


Computed PXRD pattern of Li3TiB2O6 for CuKα, from a structure optimized by DFT (PBE).

Peak list (8 most intense, 10° ≤ 2θ ≤ 90°, by angle)
d 4.628, I 47
d 4.476, I 48
d 4.354, I 58
d 3.354, I 29
d 2.595, I 25
d 2.585, I 62
d 2.492, I 100
d 2.195, I 24

Structure:
```
Li3TiB2O6
1.0
5.1913 0.0000 0.0000
0.0000 8.9408 0.0000
-5.0681 0.0000 9.9690
Li Ti B O
12 4 8 24
Direct
0.0119 0.0250 0.1700
0.0119 0.4750 0.6700
0.0520 0.6569 0.8815
0.0520 0.8431 0.3815
0.4225 0.0142 0.5988
0.4225 0.4858 0.0988
0.5775 0.5142 0.9012
0.5775 0.9858 0.4012
0.9480 0.1569 0.6185
0.9480 0.3431 0.1185
0.9881 0.5250 0.3300
0.9881 0.9750 0.8300
0.4702 0.6678 0.6229
0.4702 0.8322 0.1229
0.5298 0.1678 0.8771
0.5298 0.3322 0.3771
0.0434 0.1754 0.3791
0.0434 0.3246 0.8791
0.4649 0.1674 0.1296
0.4649 0.3326 0.6296
0.5351 0.6674 0.3704
0.5351 0.8326 0.8704
0.9566 0.6754 0.1209
0.9566 0.8246 0.6209
0.1204 0.1834 0.8514
0.1204 0.3166 0.3514
0.1932 0.6621 0.0939
0.1932 0.8379 0.5939
0.2021 0.0512 0.3796
0.2021 0.4488 0.8796
0.3249 0.6726 0.4147
0.3249 0.8274 0.9147
0.3456 0.0284 0.1361
0.3456 0.4716 0.6361
0.3677 0.2067 0.6686
0.3677 0.2933 0.1686
0.6323 0.7067 0.8314
0.6323 0.7933 0.3314
0.6544 0.5284 0.3639
0.6544 0.9716 0.8639
0.6751 0.1726 0.0853
0.6751 0.3274 0.5853
0.7979 0.5512 0.1204
0.7979 0.9488 0.6204
0.8068 0.1621 0.4061
0.8068 0.3379 0.9061
0.8796 0.6834 0.6486
0.8796 0.8166 0.1486
```


Computed PXRD pattern of YMg6V for CuKα, from a structure optimized by DFT (PBE).

Peak list (8 most intense, 10° ≤ 2θ ≤ 90°, by angle)
d 5.622, I 54
d 3.772, I 31
d 2.814, I 29
d 2.546, I 38
d 2.463, I 100
d 2.454, I 54
d 1.453, I 27
d 1.366, I 19

Structure:
```
YMg6V
1.0
5.0927 0.0000 0.0000
0.0000 3.2540 5.6002
0.0000 -3.2540 5.6002
Y Mg V
1 6 1
Direct
0.0000 0.0000 0.0000
0.0000 0.5112 0.5112
0.0000 0.5154 0.9957
0.0000 0.9957 0.5154
0.5000 0.3391 0.3391
0.5000 0.3475 0.8379
0.5000 0.8379 0.3475
0.5000 0.8410 0.8410
```


Computed PXRD pattern of Tb3Te for CuKα, from a structure optimized by DFT (PBE).

Peak list (8 most intense, 10° ≤ 2θ ≤ 90°, by angle)
d 2.797, I 100
d 2.639, I 21
d 2.332, I 30
d 1.748, I 25
d 1.552, I 17
d 1.421, I 25
d 1.398, I 12
d 1.130, I 12

Structure:
```
Tb3Te
1.0
-2.3321 2.3321 5.2782
2.3321 -2.3321 5.2782
2.3321 2.3321 -5.2782
Tb Te
3 1
Direct
0.0000 0.0000 0.0000
0.2500 0.7500 0.5000
0.7500 0.2500 0.5000
0.5000 0.5000 0.0000
```


Computed PXRD pattern of CaTb2S4 for CuKα, from a structure optimized by DFT (PBE).

Peak list (8 most intense, 10° ≤ 2θ ≤ 90°, by angle)
d 5.943, I 28
d 3.430, I 100
d 2.656, I 100
d 2.246, I 74
d 1.878, I 38
d 1.791, I 26
d 1.648, I 20
d 1.362, I 25

Structure:
```
CaTb2S4
1.0
-4.1980 4.1980 4.2062
4.1980 -4.1980 4.2062
4.1980 4.1980 -4.2062
Ca Tb S
2 4 8
Direct
0.0000 0.0000 0.0000
0.7500 0.2500 0.5000
0.2474 0.6250 0.1224
0.3750 0.4974 0.6224
0.5026 0.1250 0.8776
0.8750 0.7526 0.3776
0.1306 0.2355 0.7494
0.1312 0.7361 0.7506
0.2639 0.0145 0.3951
0.4861 0.3812 0.2506
0.6188 0.8694 0.1049
0.6194 0.8688 0.6049
0.7645 0.5139 0.8951
0.9855 0.3806 0.2494
```


Computed PXRD pattern of SrNiGe2 for CuKα, from a structure optimized by DFT (PBE).

Peak list (8 most intense, 10° ≤ 2θ ≤ 90°, by angle)
d 2.733, I 34
d 2.699, I 100
d 2.383, I 31
d 2.217, I 36
d 2.103, I 30
d 1.926, I 26
d 1.623, I 18
d 1.526, I 21

Structure:
```
SrNiGe2
1.0
2.2174 -8.6771 0.0000
2.2174 8.6771 0.0000
0.0000 0.0000 4.2061
Sr Ni Ge
2 2 4
Direct
0.1079 0.8921 0.7500
0.8921 0.1079 0.2500
0.3187 0.6813 0.7500
0.6813 0.3187 0.2500
0.2504 0.7496 0.2500
0.4564 0.5436 0.7500
0.5436 0.4564 0.2500
0.7496 0.2504 0.7500
```


Computed PXRD pattern of CuB2C8N8 for CuKα, from a structure optimized by DFT (PBE).

Peak list (8 most intense, 10° ≤ 2θ ≤ 90°, by angle)
d 6.414, I 40
d 6.092, I 32
d 4.663, I 58
d 4.350, I 100
d 3.808, I 60
d 3.654, I 28
d 3.019, I 38
d 2.801, I 65

Structure:
```
CuB2C8N8
1.0
6.7069 -3.6541 0.0000
6.7069 3.6541 0.0000
-0.4085 0.0000 6.0918
Cu B C N
1 2 8 8
Direct
0.0000 0.0000 0.0000
0.3350 0.3350 0.6500
0.6650 0.6650 0.3500
0.2137 0.5671 0.7506
0.2225 0.2225 0.7151
0.3391 0.3391 0.3913
0.4329 0.7863 0.2494
0.5671 0.2137 0.7506
0.6609 0.6609 0.6087
0.7775 0.7775 0.2849
0.7863 0.4329 0.2494
0.1252 0.7360 0.8241
0.1397 0.1397 0.7606
0.2640 0.8748 0.1759
0.3413 0.3413 0.2008
0.6587 0.6587 0.7992
0.7360 0.1252 0.8241
0.8603 0.8603 0.2394
0.8748 0.2640 0.1759
```


Computed PXRD pattern of Hf2CoCu for CuKα, from a structure optimized by DFT (PBE).

Peak list (7 most intense, 10° ≤ 2θ ≤ 90°, by angle)
d 3.188, I 26
d 2.254, I 100
d 1.841, I 8
d 1.594, I 17
d 1.426, I 11
d 1.302, I 34
d 1.127, I 11

Structure:
```
Hf2CoCu
1.0
0.0000 3.1882 3.1882
3.1882 0.0000 3.1882
3.1882 3.1882 0.0000
Hf Co Cu
2 1 1
Direct
0.2500 0.2500 0.2500
0.7500 0.7500 0.7500
0.0000 0.0000 0.0000
0.5000 0.5000 0.5000
```